This entry pairs a crystal structure of SrHfPO with its simulated XRD peak list. Radiation: Cu Kα X-rays. Structure: a cell relaxed with GGA-PBE.
Lines closer than 0.1° are merged.

Largest 10 diffraction maxima, most intense first, 2θ = 5–70°:
index  2theta  I/Imax
1 1 1  30.65  100
0 1 3  40.53  47
1 0 2  31.52  43
0 1 1  22.29  41
2 1 3  59.99  29
0 0 2  23.45  27
0 2 0  38.40  26
2 0 0  42.26  22
1 2 2  50.50  21
2 2 0  58.41  15

Structure:
a b c (Å): 4.2773 4.6883 7.5868
angles (deg): 90.00 90.00 90.00
Space group Pmc2_1 (No. 26)
Asymmetric unit:
Sr (0.0000, 0.2227, 0.0000) [2 per cell]
Hf (0.5000, 0.2751, 0.3482) [2 per cell]
P (0.5000, 0.2245, 0.6884) [2 per cell]
O (0.0000, 0.2761, 0.3429) [2 per cell]